[1]
For Ti2H2N, DFT lattice parameters and positions (GGA-PBE) gives the theoretical powder XRD pattern in this record (Cu Kα, 1.54184 Å).
Kinematic intensities with the Lorentz-polarization factor, no thermal factor.

Main lines, low angle first (10 to 90 degrees two-theta):
2θ/deg, I_rel, index
10.30, 14, 1 0 0
35.55, 100, 2 1 1
39.47, 29, 0 2 0
42.09, 24, 4 0 0
42.23, 25, 0 0 2
59.06, 16, 4 2 0
59.18, 17, 0 2 2
61.15, 15, 4 0 2
69.05, 13, 2 3 1
75.25, 13, 4 2 2

Atomic structure:
```
Ti2H2N
1.0
8.5879 0.0000 0.0000
0.0000 4.5661 0.0000
0.0000 0.0000 4.2799
Ti H N
8 8 4
Direct
0.1188 0.0139 0.2500
0.1188 0.4861 0.7500
0.3629 0.0033 0.7500
0.3629 0.4967 0.2500
0.6371 0.5033 0.7500
0.6371 0.9967 0.2500
0.8812 0.5139 0.2500
0.8812 0.9861 0.7500
0.2670 0.7500 0.0000
0.2670 0.7500 0.5000
0.4960 0.2500 0.0000
0.4960 0.2500 0.5000
0.5040 0.7500 0.0000
0.5040 0.7500 0.5000
0.7330 0.2500 0.0000
0.7330 0.2500 0.5000
0.1162 0.0446 0.7500
0.1162 0.4554 0.2500
0.8838 0.5446 0.7500
0.8838 0.9554 0.2500
```

=====

[2]
For HoCo5, DFT lattice parameters and positions (GGA-PBE) gives the theoretical powder XRD pattern in this record (Cu Kα, 1.54184 Å).
Kinematic intensities with the Lorentz-polarization factor, no thermal factor.

Main lines, low angle first (10 to 90 degrees two-theta):
2θ/deg, I_rel, index
30.94, 55, 1 0 1
36.63, 34, 1 1 0
42.55, 36, 2 0 0
43.44, 100, 1 1 1
46.05, 26, 0 0 2
60.22, 16, 1 1 2
62.44, 15, 2 1 1
64.48, 20, 2 0 2
70.67, 22, 3 0 1
77.87, 15, 2 2 0

Atomic structure:
```
HoCo5
1.0
4.9067 0.0000 0.0000
-2.4534 4.2494 0.0000
0.0000 0.0000 3.9423
Ho Co
1 5
Direct
0.0000 0.0000 0.0000
0.0000 0.5000 0.5000
0.3333 0.6667 0.0000
0.5000 0.0000 0.5000
0.5000 0.5000 0.5000
0.6667 0.3333 0.0000
```

=====

[3]
For BaNdNi10, DFT lattice parameters and positions (GGA-PBE) gives the theoretical powder XRD pattern in this record (Cu Kα, 1.54184 Å).
Kinematic intensities with the Lorentz-polarization factor, no thermal factor.

Main lines, low angle first (10 to 90 degrees two-theta):
2θ/deg, I_rel, index
30.39, 43, 1 1 1
35.27, 20, 0 1 3
40.92, 12, 0 0 4
41.03, 23, 0 2 2
42.27, 100, 1 2 0
45.92, 25, 2 0 0
59.22, 13, 2 2 0
63.23, 21, 2 0 4
68.21, 15, 1 3 3
82.45, 13, 3 2 0

Atomic structure:
```
BaNdNi10
1.0
3.9528 0.0000 0.0000
0.0000 5.0758 0.0000
0.0000 0.0000 8.8219
Ba Nd Ni
1 1 10
Direct
0.0000 0.0000 0.0000
0.0000 0.5000 0.5000
0.0000 0.0000 0.3418
0.0000 0.0000 0.6582
0.0000 0.5000 0.1774
0.0000 0.5000 0.8226
0.5000 0.0000 0.5000
0.5000 0.2561 0.2612
0.5000 0.2561 0.7388
0.5000 0.5000 0.0000
0.5000 0.7439 0.2612
0.5000 0.7439 0.7388
```

=====

[4]
For MgPd3Cl, DFT lattice parameters and positions (GGA-PBE) gives the theoretical powder XRD pattern in this record (Cu Kα, 1.54184 Å).
Kinematic intensities with the Lorentz-polarization factor, no thermal factor.

Main lines, low angle first (10 to 90 degrees two-theta):
2θ/deg, I_rel, index
19.27, 45, 1 0 0
27.38, 5, 1 1 0
33.70, 100, 1 1 1
39.11, 74, 2 0 0
43.95, 19, 2 1 0
56.50, 49, 2 2 0
60.27, 9, 3 0 0
67.42, 39, 3 1 1
70.86, 16, 2 2 2
84.04, 8, 4 0 0

Atomic structure:
```
MgPd3Cl
1.0
4.6068 0.0000 0.0000
0.0000 4.6068 0.0000
0.0000 0.0000 4.6068
Mg Pd Cl
1 3 1
Direct
0.0000 0.0000 0.0000
0.0000 0.5000 0.5000
0.5000 0.0000 0.5000
0.5000 0.5000 0.0000
0.5000 0.5000 0.5000
```

=====

[5]
For Al4Pd9Au2, DFT lattice parameters and positions (GGA-PBE) gives the theoretical powder XRD pattern in this record (Cu Kα, 1.54184 Å).
Kinematic intensities with the Lorentz-polarization factor, no thermal factor.

Main lines, low angle first (10 to 90 degrees two-theta):
2θ/deg, I_rel, index
24.48, 53, 0 1 1
34.57, 16, 1 0 4
39.51, 100, 0 1 5
41.62, 93, 1 1 0
44.93, 17, 1 0 6
48.88, 9, 2 0 1
58.73, 31, 2 0 5
70.21, 13, 1 0 10
74.54, 30, 1 2 5
75.96, 16, 3 0 0

Atomic structure:
```
Al4Pd9Au2
1.0
4.3398 0.0000 0.0000
-2.1699 3.7584 0.0000
0.0000 0.0000 14.3487
Al Pd Au
4 9 2
Direct
0.3333 0.6667 0.1468
0.3333 0.6667 0.3861
0.6667 0.3333 0.6139
0.6667 0.3333 0.8532
0.0000 0.0000 0.1104
0.0000 0.0000 0.3129
0.0000 0.0000 0.5000
0.0000 0.0000 0.6871
0.0000 0.0000 0.8896
0.3333 0.6667 0.5754
0.3333 0.6667 0.9703
0.6667 0.3333 0.0297
0.6667 0.3333 0.4246
0.3333 0.6667 0.7761
0.6667 0.3333 0.2239
```